Entry 1:
Theoretical powder diffraction line list of CaSnHg for Cu Kα, 1.54184 Å, from a cell relaxed with GGA-PBE.
Neutral-atom scattering factors, no anomalous dispersion.

Most intense lines, 2θ = 15–90°, sorted by position:
h k l, Position (°2θ), I_rel
0 1 1, 19.97, 37
1 0 0, 24.33, 71
1 1 1, 31.79, 68
1 0 -2, 32.05, 39
0 2 0, 34.40, 55
0 1 3, 36.05, 100
1 2 0, 42.58, 36
1 1 -3, 43.72, 30
1 1 3, 44.22, 32
0 3 3, 62.68, 34

Structural model:
Cell lengths 3.6592, 5.2135, 8.5089 Å; angles 90.00, 90.77, 90.00 degrees
Space group P2_1/m (No. 11)
Symmetry-distinct sites (fractional):
Ca 0.0096 0.2500 0.2566 x2
Sn 0.4506 0.2500 0.9166 x2
Hg 0.4686 0.7500 0.4243 x2


Entry 2:
Theoretical powder diffraction line list of Ca3Sn2Hg3 for Cu Kα, 1.54184 Å, from a cell relaxed with GGA-PBE.
Neutral-atom scattering factors, no anomalous dispersion.

Most intense lines, 2θ = 15–90°, sorted by position:
h k l, Position (°2θ), I_rel
2 0 1, 20.32, 24
1 1 0, 21.62, 43
4 0 -1, 22.42, 19
3 1 1, 31.69, 95
2 0 -2, 33.20, 36
5 1 -1, 33.58, 100
8 0 0, 36.85, 34
0 2 0, 43.02, 25
2 2 -2, 55.38, 20
8 2 0, 57.91, 18

Structural model:
Cell lengths 19.8221, 4.2051, 5.4238 Å; angles 90.00, 100.14, 90.00 degrees
Space group C2/m (No. 12)
Symmetry-distinct sites (fractional):
Ca 0.0000 0.0000 0.0000 x2
Ca 0.1370 0.0000 0.5857 x4
Sn 0.2401 0.0000 0.1845 x4
Hg 0.0000 0.5000 0.5000 x2
Hg 0.1198 0.5000 0.0690 x4


Entry 3:
Theoretical powder diffraction line list of Ca3Sn4Hg3 for Cu Kα, 1.54184 Å, from a cell relaxed with GGA-PBE.
Neutral-atom scattering factors, no anomalous dispersion.

Most intense lines, 2θ = 15–90°, sorted by position:
h k l, Position (°2θ), I_rel
2 1 1, 20.96, 65
3 2 1, 32.26, 100
4 2 0, 38.79, 34
4 2 2, 42.66, 14
5 1 0, 44.49, 43
5 2 1, 47.99, 17
6 3 1, 60.48, 12
4 4 4, 61.92, 10
5 5 2, 66.14, 16
6 5 3, 76.81, 9

Structural model:
Cell lengths 10.3826, 10.3826, 10.3826 Å; angles 90.00, 90.00, 90.00 degrees
Space group I-43d (No. 220)
Symmetry-distinct sites (fractional):
Ca 0.0000 0.2500 0.3750 x12
Sn 0.0936 0.0936 0.0936 x16
Hg 0.0000 0.2500 0.8750 x12


Entry 4:
Theoretical powder diffraction line list of CaSnHg for Cu Kα, 1.54184 Å, from a cell relaxed with GGA-PBE.
Neutral-atom scattering factors, no anomalous dispersion.

Most intense lines, 2θ = 15–90°, sorted by position:
h k l, Position (°2θ), I_rel
0 1 1, 15.81, 48
1 1 0, 23.97, 40
1 0 3, 30.58, 100
0 2 2, 31.93, 27
1 2 1, 35.08, 90
2 0 0, 39.64, 30
1 1 4, 39.77, 29
0 2 4, 42.28, 38
2 2 4, 59.34, 28
3 0 3, 66.37, 33

Structural model:
Cell lengths 4.5471, 6.4287, 11.4482 Å; angles 90.00, 90.00, 90.00 degrees
Space group Immm (No. 71)
Symmetry-distinct sites (fractional):
Ca 0.0000 0.0000 0.1809 x4
Sn 0.0000 0.2529 0.5000 x4
Hg 0.0000 0.5000 0.1384 x4


Entry 5:
Theoretical powder diffraction line list of Ca2SnHg3 for Cu Kα, 1.54184 Å, from a cell relaxed with GGA-PBE.
Neutral-atom scattering factors, no anomalous dispersion.

Most intense lines, 2θ = 15–90°, sorted by position:
h k l, Position (°2θ), I_rel
0 0 4, 20.63, 53
2 0 0, 23.99, 68
2 0 4, 31.84, 100
0 4 0, 36.05, 39
0 2 6, 36.18, 78
2 4 0, 43.77, 29
2 2 6, 43.88, 58
2 4 4, 48.87, 20
4 4 0, 62.39, 35
4 2 6, 62.50, 32

Structural model:
Cell lengths 7.4196, 9.9663, 17.1808 Å; angles 90.00, 90.00, 90.00 degrees
Space group Fmmm (No. 69)
Symmetry-distinct sites (fractional):
Ca 0.2446 0.0000 0.0000 x8
Ca 0.2500 0.2500 0.2500 x8
Sn 0.0000 0.0000 0.3349 x8
Hg 0.0000 0.0000 0.1664 x8
Hg 0.0000 0.2500 0.0831 x16


Entry 6:
Theoretical powder diffraction line list of CaSn3Hg6 for Cu Kα, 1.54184 Å, from a cell relaxed with GGA-PBE.
Neutral-atom scattering factors, no anomalous dispersion.

Most intense lines, 2θ = 15–90°, sorted by position:
h k l, Position (°2θ), I_rel
3 0 0, 15.43, 88
4 1 0, 23.67, 42
3 3 0, 26.89, 21
1 0 1, 29.16, 40
2 1 1, 31.87, 19
1 3 1, 34.39, 24
4 0 1, 35.59, 20
4 4 0, 36.12, 100
4 3 1, 43.19, 47
3 5 1, 47.08, 28

Structural model:
Cell lengths 19.8929, 19.8929, 3.1119 Å; angles 90.00, 90.00, 120.00 degrees
Space group R3m (No. 160, hexagonal axes)
Symmetry-distinct sites (fractional):
Ca 0.0000 0.0000 0.0000 x3
Sn 0.1719 0.3438 0.6735 x9
Hg 0.0892 0.1783 0.5332 x9
Hg 0.1692 0.0846 0.4889 x9


Repeat the fourth record exactly.
Theoretical powder diffraction line list of CaSnHg for Cu Kα, 1.54184 Å, from a cell relaxed with GGA-PBE.
Neutral-atom scattering factors, no anomalous dispersion.

Most intense lines, 2θ = 15–90°, sorted by position:
h k l, Position (°2θ), I_rel
0 1 1, 15.81, 48
1 1 0, 23.97, 40
1 0 3, 30.58, 100
0 2 2, 31.93, 27
1 2 1, 35.08, 90
2 0 0, 39.64, 30
1 1 4, 39.77, 29
0 2 4, 42.28, 38
2 2 4, 59.34, 28
3 0 3, 66.37, 33

Structural model:
Cell lengths 4.5471, 6.4287, 11.4482 Å; angles 90.00, 90.00, 90.00 degrees
Space group Immm (No. 71)
Symmetry-distinct sites (fractional):
Ca 0.0000 0.0000 0.1809 x4
Sn 0.0000 0.2529 0.5000 x4
Hg 0.0000 0.5000 0.1384 x4